Calculated XRD peak list of Na2FePCO7 for a wavelength of 1.5418 Å, from a cell relaxed with GGA+U.
Intensities are scaled so that the largest is 100.

The 10 most intense peaks (15 to 90 degrees two-theta), in order of rising 2θ:
2θ = 19.6°, I = 54; 2θ = 19.8°, I = 51; 2θ = 26.1°, I = 27; 2θ = 27.4°, I = 100; 2θ = 29.9°, I = 21; 2θ = 33.8°, I = 34; 2θ = 34.2°, I = 24; 2θ = 34.3°, I = 44; 2θ = 42.2°, I = 23; 2θ = 56.5°, I = 26

Structure:
```
data_Na2FePCO7
_chemical_formula_sum 'Na8 Fe4 P4 C4 O28'
_cell_length_a 8.338
_cell_length_b 8.372
_cell_length_c 8.959
_cell_angle_alpha 89.74
_cell_angle_beta 89.05
_cell_angle_gamma 77.42
_space_group_name_H-M_alt 'P 1'
_space_group_IT_number 1
loop_
_space_group_symop_operation_xyz
'x,y,z'
loop_
_atom_site_label
_atom_site_type_symbol
_atom_site_fract_x
_atom_site_fract_y
_atom_site_fract_z
Na1 Na 0.000 0.000 0.000
Na2 Na 0.002 0.473 0.171
Na3 Na 0.135 0.628 0.813
Na4 Na 0.372 0.361 0.345
Na5 Na 0.498 0.977 0.152
Na6 Na 0.503 0.506 0.000
Na7 Na 0.865 0.359 0.813
Na8 Na 0.871 0.859 0.345
Fe1 Fe 0.247 0.247 0.736
Fe2 Fe 0.278 0.732 0.425
Fe3 Fe 0.725 0.769 0.739
Fe4 Fe 0.774 0.229 0.426
P1 P 0.022 0.970 0.657
P2 P 0.484 0.014 0.503
P3 P 0.523 0.471 0.657
P4 P 0.984 0.514 0.508
C1 C 0.237 0.745 0.147
C2 C 0.260 0.237 0.017
C3 C 0.742 0.250 0.146
C4 C 0.771 0.726 0.019
O1 O 0.064 0.431 0.653
O2 O 0.080 0.102 0.752
O3 O 0.112 0.574 0.407
O4 O 0.143 0.846 0.240
O5 O 0.144 0.346 0.952
O6 O 0.168 0.828 0.612
O7 O 0.220 0.755 0.006
O8 O 0.279 0.232 0.157
O9 O 0.344 0.165 0.543
O10 O 0.352 0.634 0.209
O11 O 0.354 0.134 0.926
O12 O 0.394 0.413 0.759
O13 O 0.418 0.893 0.402
O14 O 0.442 0.551 0.514
O15 O 0.558 0.934 0.648
O16 O 0.596 0.589 0.757
O17 O 0.612 0.074 0.401
O18 O 0.643 0.346 0.240
O19 O 0.653 0.835 0.956
O20 O 0.666 0.325 0.612
O21 O 0.735 0.270 0.006
O22 O 0.791 0.720 0.158
O23 O 0.846 0.662 0.556
O24 O 0.854 0.135 0.209
O25 O 0.865 0.625 0.925
O26 O 0.907 0.898 0.764
O27 O 0.917 0.392 0.410
O28 O 0.936 0.045 0.514
```


Calculated XRD peak list of Na5Fe2P2C2O14 for a wavelength of 1.5418 Å, from a cell relaxed with GGA+U.
Intensities are scaled so that the largest is 100.

The 10 most intense peaks (15 to 90 degrees two-theta), in order of rising 2θ:
2θ = 19.6°, I = 74; 2θ = 26.1°, I = 39; 2θ = 26.7°, I = 100; 2θ = 33.2°, I = 26; 2θ = 33.4°, I = 36; 2θ = 34.3°, I = 57; 2θ = 34.5°, I = 30; 2θ = 42.2°, I = 25; 2θ = 46.1°, I = 25; 2θ = 55.0°, I = 25

Structure:
```
data_Na5Fe2P2C2O14
_chemical_formula_sum 'Na10 Fe4 P4 C4 O28'
_cell_length_a 8.451
_cell_length_b 8.523
_cell_length_c 10.392
_cell_angle_alpha 108.93
_cell_angle_beta 107.28
_cell_angle_gamma 103.81
_space_group_name_H-M_alt 'P -1'
_space_group_IT_number 2
loop_
_space_group_symop_operation_xyz
'x,y,z'
'-x,-y,-z'
loop_
_atom_site_label
_atom_site_type_symbol
_atom_site_fract_x
_atom_site_fract_y
_atom_site_fract_z
Na1 Na 0.005 0.000 0.263
Na2 Na 0.230 0.454 0.924
Na3 Na 0.253 0.738 0.732
Na4 Na 0.260 0.758 0.259
Na5 Na 0.307 0.064 0.087
Fe1 Fe 0.203 0.446 0.354
Fe2 Fe 0.311 0.068 0.652
P1 P 0.055 0.314 0.577
P2 P 0.436 0.189 0.416
C1 C 0.020 0.273 0.066
C2 C 0.481 0.223 0.940
O1 O 0.024 0.573 0.327
O2 O 0.029 0.784 0.843
O3 O 0.063 0.811 0.076
O4 O 0.092 0.836 0.571
O5 O 0.159 0.240 0.677
O6 O 0.161 0.419 0.130
O7 O 0.182 0.442 0.539
O8 O 0.310 0.056 0.448
O9 O 0.320 0.267 0.325
O10 O 0.326 0.089 0.875
O11 O 0.413 0.664 0.434
O12 O 0.434 0.705 0.919
O13 O 0.459 0.719 0.145
O14 O 0.488 0.914 0.687
```


Calculated XRD peak list of Na5Fe2P2C2O14 for a wavelength of 1.5418 Å, from a cell relaxed with GGA+U.
Intensities are scaled so that the largest is 100.

The 10 most intense peaks (15 to 90 degrees two-theta), in order of rising 2θ:
2θ = 19.4°, I = 43; 2θ = 19.6°, I = 40; 2θ = 25.9°, I = 27; 2θ = 26.9°, I = 100; 2θ = 33.4°, I = 76; 2θ = 33.7°, I = 37; 2θ = 34.1°, I = 61; 2θ = 34.2°, I = 25; 2θ = 41.9°, I = 28; 2θ = 55.5°, I = 28

Structure:
```
data_Na5Fe2P2C2O14
_chemical_formula_sum 'Na10 Fe4 P4 C4 O28'
_cell_length_a 6.619
_cell_length_b 9.032
_cell_length_c 10.527
_cell_angle_alpha 90.55
_cell_angle_beta 90.19
_cell_angle_gamma 90.51
_space_group_name_H-M_alt 'P -1'
_space_group_IT_number 2
loop_
_space_group_symop_operation_xyz
'x,y,z'
'-x,-y,-z'
loop_
_atom_site_label
_atom_site_type_symbol
_atom_site_fract_x
_atom_site_fract_y
_atom_site_fract_z
Na1 Na 0.001 0.267 0.118
Na2 Na 0.011 0.260 0.630
Na3 Na 0.262 0.085 0.860
Na4 Na 0.269 0.078 0.376
Na5 Na 0.495 0.270 0.112
Fe1 Fe 0.255 0.659 0.147
Fe2 Fe 0.258 0.643 0.637
P1 P 0.246 0.423 0.397
P2 P 0.248 0.416 0.895
C1 C 0.242 0.923 0.618
C2 C 0.244 0.950 0.111
O1 O 0.059 0.321 0.365
O2 O 0.063 0.319 0.856
O3 O 0.226 0.063 0.607
O4 O 0.235 0.890 0.222
O5 O 0.239 0.455 0.038
O6 O 0.240 0.570 0.327
O7 O 0.243 0.456 0.544
O8 O 0.247 0.833 0.520
O9 O 0.248 0.092 0.098
O10 O 0.250 0.863 0.010
O11 O 0.253 0.564 0.817
O12 O 0.257 0.859 0.730
O13 O 0.435 0.328 0.362
O14 O 0.437 0.321 0.870
```


Calculated XRD peak list of Na5Fe2P2C2O14 for a wavelength of 1.5418 Å, from a cell relaxed with GGA+U.
Intensities are scaled so that the largest is 100.

The 10 most intense peaks (15 to 90 degrees two-theta), in order of rising 2θ:
2θ = 16.7°, I = 31; 2θ = 19.5°, I = 42; 2θ = 19.6°, I = 39; 2θ = 25.9°, I = 30; 2θ = 27.0°, I = 100; 2θ = 33.6°, I = 66; 2θ = 33.7°, I = 46; 2θ = 34.1°, I = 62; 2θ = 42.0°, I = 28; 2θ = 55.8°, I = 29

Structure:
```
data_Na5Fe2P2C2O14
_chemical_formula_sum 'Na10 Fe4 P4 C4 O28'
_cell_length_a 9.015
_cell_length_b 6.594
_cell_length_c 10.503
_cell_angle_alpha 90.00
_cell_angle_beta 90.48
_cell_angle_gamma 90.00
_space_group_name_H-M_alt 'P 1 c 1'
_space_group_IT_number 7
loop_
_space_group_symop_operation_xyz
'x,y,z'
'x,-y,z+1/2'
loop_
_atom_site_label
_atom_site_type_symbol
_atom_site_fract_x
_atom_site_fract_y
_atom_site_fract_z
Na1 Na 0.000 0.001 0.000
Na2 Na 0.160 0.491 0.237
Na3 Na 0.348 0.247 0.491
Na4 Na 0.348 0.247 0.988
Na5 Na 0.820 0.230 0.742
Fe1 Fe 0.439 0.002 0.228
Fe2 Fe 0.741 0.497 0.009
P1 P 0.508 0.499 0.759
P2 P 0.669 0.000 0.466
C1 C 0.023 0.498 0.482
C2 C 0.149 0.005 0.752
O1 O 0.009 0.018 0.764
O2 O 0.166 0.499 0.471
O3 O 0.212 0.002 0.140
O4 O 0.236 0.003 0.353
O5 O 0.406 0.313 0.732
O6 O 0.410 0.315 0.228
O7 O 0.521 0.002 0.039
O8 O 0.551 0.500 0.405
O9 O 0.641 0.000 0.322
O10 O 0.653 0.492 0.681
O11 O 0.764 0.189 0.509
O12 O 0.765 0.192 0.999
O13 O 0.936 0.488 0.884
O14 O 0.960 0.484 0.593
```


Calculated XRD peak list of Na2FePCO7 for a wavelength of 1.5418 Å, from a cell relaxed with GGA+U.
Intensities are scaled so that the largest is 100.

The 10 most intense peaks (15 to 90 degrees two-theta), in order of rising 2θ:
2θ = 16.8°, I = 50; 2θ = 19.6°, I = 100; 2θ = 26.1°, I = 36; 2θ = 27.3°, I = 95; 2θ = 29.6°, I = 21; 2θ = 33.8°, I = 42; 2θ = 34.0°, I = 27; 2θ = 34.2°, I = 42; 2θ = 42.2°, I = 22; 2θ = 56.4°, I = 25

Structure:
```
data_Na2FePCO7
_chemical_formula_sum 'Na8 Fe4 P4 C4 O28'
_cell_length_a 10.363
_cell_length_b 6.531
_cell_length_c 10.496
_cell_angle_alpha 90.00
_cell_angle_beta 120.21
_cell_angle_gamma 90.00
_space_group_name_H-M_alt 'P 1 21/c 1'
_space_group_IT_number 14
loop_
_space_group_symop_operation_xyz
'x,y,z'
'-x,-y,-z'
'-x,y+1/2,-z+1/2'
'x,-y+1/2,z+1/2'
loop_
_atom_site_label
_atom_site_type_symbol
_atom_site_fract_x
_atom_site_fract_y
_atom_site_fract_z
Na1 Na 0.080 0.239 0.423
Na2 Na 0.264 0.014 0.259
Fe1 Fe 0.345 0.747 0.065
P1 P 0.424 0.248 0.067
C1 C 0.065 0.743 0.397
O1 O 0.076 0.238 0.187
O2 O 0.129 0.734 0.542
O3 O 0.157 0.740 0.847
O4 O 0.322 0.061 0.538
O5 O 0.326 0.061 0.054
O6 O 0.432 0.742 0.781
O7 O 0.469 0.248 0.945
```


Calculated XRD peak list of Na5Fe2P2C2O14 for a wavelength of 1.5418 Å, from a cell relaxed with GGA+U.
Intensities are scaled so that the largest is 100.

The 10 most intense peaks (15 to 90 degrees two-theta), in order of rising 2θ:
2θ = 19.6°, I = 76; 2θ = 26.1°, I = 28; 2θ = 26.7°, I = 100; 2θ = 33.3°, I = 52; 2θ = 33.3°, I = 23; 2θ = 33.6°, I = 36; 2θ = 34.3°, I = 58; 2θ = 34.5°, I = 24; 2θ = 42.1°, I = 28; 2θ = 54.9°, I = 27

Structure:
```
data_Na5Fe2P2C2O14
_chemical_formula_sum 'Na10 Fe4 P4 C4 O28'
_cell_length_a 6.687
_cell_length_b 8.974
_cell_length_c 10.461
_cell_angle_alpha 90.26
_cell_angle_beta 90.26
_cell_angle_gamma 90.60
_space_group_name_H-M_alt 'P -1'
_space_group_IT_number 2
loop_
_space_group_symop_operation_xyz
'x,y,z'
'-x,-y,-z'
loop_
_atom_site_label
_atom_site_type_symbol
_atom_site_fract_x
_atom_site_fract_y
_atom_site_fract_z
Na1 Na 0.003 0.265 0.379
Na2 Na 0.011 0.261 0.871
Na3 Na 0.261 0.089 0.624
Na4 Na 0.268 0.075 0.114
Na5 Na 0.496 0.265 0.379
Fe1 Fe 0.253 0.653 0.384
Fe2 Fe 0.262 0.647 0.899
P1 P 0.247 0.415 0.145
P2 P 0.248 0.424 0.648
C1 C 0.240 0.928 0.863
C2 C 0.245 0.945 0.367
O1 O 0.061 0.317 0.105
O2 O 0.064 0.321 0.619
O3 O 0.229 0.068 0.851
O4 O 0.236 0.862 0.265
O5 O 0.241 0.467 0.794
O6 O 0.243 0.445 0.290
O7 O 0.243 0.864 0.975
O8 O 0.244 0.566 0.072
O9 O 0.247 0.571 0.572
O10 O 0.248 0.089 0.358
O11 O 0.254 0.835 0.765
O12 O 0.256 0.883 0.480
O13 O 0.431 0.326 0.616
O14 O 0.438 0.323 0.113
```